The following is a theoretical XRD peak list of Na2Li2CoTeO6. It was derived from a crystal structure in OQMD, relaxed with GGA+U, using Cu Kα (weighted mean of Kα1 and Kα2).
Intensities are scaled so that the largest is 100.

Main lines, low angle first (5 to 70 degrees two-theta):
- d 5.010, 17.7 deg, I = 99
- d 4.698, 18.9 deg, I = 22
- d 4.435, 20.0 deg, I = 42
- d 3.965, 22.4 deg, I = 29
- d 3.427, 26.0 deg, I = 22
- d 2.659, 33.7 deg, I = 33
- d 2.546, 35.2 deg, I = 22
- d 2.189, 41.2 deg, I = 100
- d 1.550, 59.7 deg, I = 18
- d 1.545, 59.9 deg, I = 19

```
data_Na2Li2CoTeO6
_symmetry_space_group_name_H-M 'C 1 2 1'
_symmetry_Int_Tables_number 5
_symmetry_space_group_name_Hall 'C 2y'
_cell_length_a 5.3513
_cell_length_b 9.3968
_cell_length_c 5.3297
_cell_angle_alpha 90.00
_cell_angle_beta 109.94
_cell_angle_gamma 90.00
loop_
_atom_site_label
_atom_site_type_symbol
_atom_site_fract_x
_atom_site_fract_y
_atom_site_fract_z
Na1 Na 0.0000 0.0000 0.0000
Na2 Na 0.0000 0.1424 0.5000
Li1 Li 0.0000 0.4674 0.5000
Li2 Li 0.0000 0.8181 0.5000
Co1 Co 0.0000 0.6667 0.0000
Te1 Te 0.0000 0.3328 0.0000
O1 O 0.2027 0.4837 0.2366
O2 O 0.2254 0.3242 0.7777
O3 O 0.2462 0.1905 0.2239
```